Entry 1:
This entry pairs a crystal structure of MgGa6Pt3 with its computed X-ray powder pattern. Radiation: Cu Ka. Structure: a GGA-PBE-relaxed structure.

Principal peaks in the range 2θ from 15° to 90°, by intensity:
| d [Å] | I (rel.) |
| --- | --- |
| 3.350 | 100 |
| 2.213 | 90 |
| 2.029 | 70 |
| 2.220 | 59 |
| 2.145 | 46 |
| 3.416 | 37 |
| 2.120 | 36 |
| 1.204 | 29 |
| 3.923 | 22 |
| 5.282 | 21 |
| 2.047 | 20 |
| 3.979 | 19 |

Structure:
```
20
Lattice="8.049 0.000 0.000 0.000 4.056 0.000 -1.610 0.000 10.564" Properties=species:S:1:pos:R:3 pbc="T T T"
Mg -0.414 1.014 2.942
Mg 6.852 3.042 7.622
Ga -0.919 1.014 9.676
Ga 0.797 3.042 4.522
Ga 1.696 3.042 1.938
Ga 1.472 3.042 7.567
Ga 3.256 1.014 0.736
Ga 2.726 1.014 6.152
Ga 3.713 3.042 4.412
Ga 3.182 3.042 9.828
Ga 4.967 1.014 2.997
Ga 4.743 1.014 8.627
Ga 5.642 1.014 6.042
Ga 7.358 3.042 0.889
Pt 0.198 1.014 6.017
Pt 0.563 3.042 9.973
Pt 2.350 1.014 3.481
Pt 4.089 3.042 7.083
Pt 5.876 1.014 0.592
Pt 6.241 3.042 4.547
```

***

Entry 2:
This entry pairs a crystal structure of La3SiN3O2 with its computed X-ray powder pattern. Radiation: Cu Ka. Structure: a GGA-PBE-relaxed structure.

Principal peaks in the range 2θ from 15° to 90°, by intensity:
| d [Å] | I (rel.) |
| --- | --- |
| 2.912 | 100 |
| 2.793 | 40 |
| 2.369 | 33 |
| 2.353 | 32 |
| 2.961 | 32 |
| 2.929 | 30 |
| 1.635 | 19 |
| 2.149 | 18 |
| 3.637 | 18 |
| 1.632 | 17 |
| 3.668 | 16 |
| 2.168 | 15 |

Structure:
```
18
Lattice="0.000 5.587 4.791 4.862 0.000 4.791 4.862 5.587 0.000" Properties=species:S:1:pos:R:3 pbc="T T T"
La 0.000 0.000 0.000
La 4.862 5.587 3.321
La 2.431 2.793 4.128
La 6.603 5.587 6.410
La 3.122 5.587 6.410
La 7.293 8.380 8.919
Si 4.862 2.767 6.374
Si 4.862 8.407 6.374
N 3.492 3.900 1.592
N 1.370 1.686 1.592
N 4.862 3.906 5.060
N 8.355 7.273 6.383
N 4.862 7.267 5.060
N 6.232 9.487 6.383
O 7.362 5.587 4.011
O 4.862 3.867 7.724
O 2.363 5.587 4.011
O 4.862 7.306 7.724
```